Diffraction record for Er12Os5C15. The powder diffraction line list is simulated, not measured: it uses a structure optimized by DFT (GGA-PBE) and CuKα.
Kinematic intensities with the Lorentz-polarization factor, no thermal factor.

The 8 most intense peaks (2θ from 15° to 90°), low angle first:
2θ/deg	I/Imax
31.24	100
34.20	20
35.08	39
35.76	35
38.26	16
50.97	27
58.69	9
61.45	15

Structural model:
abc: 10.6492 10.6492 5.0218
angles: 90.00 90.00 120.00
Space group P-62m (No. 189)
Asymmetric unit:
Er1 0.0000 0.4341 0.0000 [3 per cell]
Er2 0.0000 0.7933 0.0000 [3 per cell]
Er3 0.1832 0.7274 0.5000 [6 per cell]
Os1 0.0000 0.1609 0.5000 [3 per cell]
Os2 0.3333 0.6667 0.0000 [2 per cell]
C1 0.0000 0.3368 0.5000 [3 per cell]
C2 0.0000 0.4627 0.5000 [3 per cell]
C3 0.0000 0.7894 0.5000 [3 per cell]
C4 0.1839 0.7172 0.0000 [6 per cell]